Structure and simulated XRD peak list of Mg12Tl7Cd (a cell relaxed with GGA-PBE; Cu Kα, 1.54184 Å).
No peak broadening, texture or thermal motion is included.

Structural model:
Lattice parameters (Å, degrees): 10.631 10.631 10.631 90.00 90.00 90.00
Space group Im-3 (No. 204)
One atom of each set of equivalent atoms:
Mg 0.000 0.153 0.253 x24
Tl 0.000 0.000 0.500 x6
Tl 0.250 0.250 0.250 x8
Cd 0.000 0.000 0.000 x2

The 6 most intense peaks (10 to 90 degrees two-theta), by intensity:
2θ/deg	intensity	index
23.67	100	2 2 0
41.62	59	4 2 2
65.73	31	6 4 2
33.72	28	4 0 0
54.60	22	6 0 2
48.44	16	4 4 0